Theoretical XRD peak list of Cd2Hg5Pb5 for a wavelength of 1.5418 Å, from a crystal structure in Alexandria, relaxed with PBE.
Intensities are scaled so that the largest is 100.

Cell and atoms:
```
data_Cd2Hg5Pb5
_cell_length_a 5.553
_cell_length_b 7.899
_cell_length_c 8.058
_cell_angle_alpha 88.06
_cell_angle_beta 78.90
_cell_angle_gamma 78.90
_space_group_name_H-M_alt 'P -1'
_space_group_IT_number 2
loop_
_space_group_symop_operation_xyz
'x,y,z'
'-x,-y,-z'
loop_
_atom_site_label
_atom_site_type_symbol
_atom_site_fract_x
_atom_site_fract_y
_atom_site_fract_z
Cd1 Cd 0.001 0.162 0.332
Hg1 Hg 0.000 0.500 0.000
Hg2 Hg 0.245 0.755 0.259
Hg3 Hg 0.495 0.330 0.173
Pb1 Pb 0.239 0.425 0.602
Pb2 Pb 0.241 0.098 0.920
Pb3 Pb 0.500 0.000 0.500
```

Largest 10 diffraction maxima, in order of rising 2θ, 2θ from 10° to 90°:
d/Å, intensity, index
2.838, 100, 1 1 -2
2.810, 98, 1 -2 1
2.763, 91, 0 2 2
2.709, 90, 2 1 1
2.565, 76, 1 0 3
2.522, 73, 1 3 0
2.189, 48, -2 1 1
1.848, 29, 0 3 -3
1.647, 41, 3 -1 2
1.522, 31, 2 4 -2